# 1
Simulated X-ray diffraction stick pattern
Compound: CsZr2Sb2
Radiation: Cu Ka
Structure: a crystal structure in Alexandria, relaxed with PBE

Principal peaks in the range 10° ≤ 2θ ≤ 80°, low angle first:
| 2theta | d (Å) | I_rel |
| --- | --- | --- |
| 11.01 | 8.036 | 20.7 |
| 24.99 | 3.564 | 100.0 |
| 28.69 | 3.111 | 35.1 |
| 34.71 | 2.584 | 23.2 |
| 37.70 | 2.386 | 41.5 |
| 43.12 | 2.098 | 44.3 |
| 45.76 | 1.983 | 38.5 |
| 54.37 | 1.687 | 14.1 |
| 60.22 | 1.537 | 11.9 |
| 71.79 | 1.315 | 19.0 |

```
CsZr2Sb2
1.0
-2.386 2.386 8.036
2.386 -2.386 8.036
2.386 2.386 -8.036
Cs Zr Sb
1 2 2
Direct
0.000 0.000 0.000
0.250 0.750 0.500
0.750 0.250 0.500
0.353 0.353 0.000
0.647 0.647 0.000
```


# 2
Simulated X-ray diffraction stick pattern
Compound: CsZr2Sb
Radiation: Cu Ka
Structure: a crystal structure in Alexandria, relaxed with PBE

Principal peaks in the range 10° ≤ 2θ ≤ 80°, low angle first:
| 2theta | d (Å) | I_rel |
| --- | --- | --- |
| 26.33 | 3.385 | 17.5 |
| 28.87 | 3.093 | 90.5 |
| 30.16 | 2.963 | 100.0 |
| 41.28 | 2.187 | 27.7 |
| 42.24 | 2.140 | 66.7 |
| 51.97 | 1.760 | 15.8 |
| 58.63 | 1.575 | 26.7 |
| 60.54 | 1.529 | 19.1 |
| 68.44 | 1.371 | 12.6 |
| 74.22 | 1.278 | 17.3 |

```
CsZr2Sb
1.0
-4.374 4.374 3.376
4.374 -4.374 3.376
4.374 4.374 -3.376
Cs Zr Sb
2 4 2
Direct
0.000 0.000 0.000
0.750 0.250 0.500
0.185 0.125 0.560
0.375 0.815 0.940
0.565 0.625 0.440
0.875 0.435 0.060
0.250 0.750 0.500
0.500 0.500 0.000
```


# 3
Simulated X-ray diffraction stick pattern
Compound: CsSc6Se8
Radiation: Cu Ka
Structure: a crystal structure in Alexandria, relaxed with PBE

Principal peaks in the range 10° ≤ 2θ ≤ 80°, low angle first:
| 2theta | d (Å) | I_rel |
| --- | --- | --- |
| 24.73 | 3.601 | 18.1 |
| 28.40 | 3.143 | 59.2 |
| 29.41 | 3.037 | 100.0 |
| 30.08 | 2.971 | 51.7 |
| 34.68 | 2.587 | 71.3 |
| 35.53 | 2.527 | 26.8 |
| 41.34 | 2.184 | 61.6 |
| 49.42 | 1.844 | 45.2 |
| 51.55 | 1.773 | 16.0 |
| 77.24 | 1.235 | 18.2 |

```
CsSc6Se8
1.0
10.520 0.000 0.000
-5.260 9.110 0.000
0.000 0.000 3.920
Cs Sc Se
1 6 8
Direct
0.000 0.000 0.000
0.138 0.653 0.751
0.347 0.485 0.751
0.485 0.138 0.249
0.515 0.862 0.751
0.653 0.515 0.249
0.862 0.347 0.249
0.046 0.360 0.748
0.314 0.954 0.748
0.333 0.667 0.250
0.360 0.314 0.252
0.640 0.686 0.748
0.667 0.333 0.750
0.686 0.046 0.252
0.954 0.640 0.252
```


# 4
Simulated X-ray diffraction stick pattern
Compound: CsTbScSe3
Radiation: Cu Ka
Structure: a crystal structure in Alexandria, relaxed with PBE

Principal peaks in the range 10° ≤ 2θ ≤ 80°, low angle first:
| 2theta | d (Å) | I_rel |
| --- | --- | --- |
| 10.67 | 8.293 | 59.1 |
| 27.23 | 3.275 | 26.3 |
| 27.48 | 3.246 | 100.0 |
| 28.38 | 3.145 | 37.4 |
| 32.34 | 2.768 | 31.3 |
| 37.74 | 2.384 | 17.7 |
| 40.41 | 2.232 | 29.2 |
| 40.89 | 2.207 | 27.9 |
| 45.77 | 1.982 | 30.3 |
| 49.81 | 1.831 | 22.6 |

```
CsTbScSe3
1.0
9.624 0.000 0.000
0.000 4.414 0.000
-3.839 0.000 9.825
Cs Tb Sc Se
2 2 2 6
Direct
0.220 0.250 0.237
0.780 0.750 0.763
0.337 0.750 0.868
0.663 0.250 0.132
0.089 0.250 0.610
0.911 0.750 0.390
0.128 0.250 0.865
0.201 0.750 0.555
0.478 0.750 0.155
0.522 0.250 0.845
0.799 0.250 0.445
0.872 0.750 0.135
```


# 5
Simulated X-ray diffraction stick pattern
Compound: Cs2ScSiTe4
Radiation: Cu Ka
Structure: a crystal structure in Alexandria, relaxed with PBE

Principal peaks in the range 10° ≤ 2θ ≤ 80°, low angle first:
| 2theta | d (Å) | I_rel |
| --- | --- | --- |
| 21.83 | 4.071 | 26.7 |
| 23.69 | 3.756 | 100.0 |
| 25.88 | 3.443 | 36.9 |
| 26.29 | 3.389 | 44.1 |
| 27.04 | 3.298 | 89.4 |
| 32.17 | 2.782 | 31.5 |
| 41.74 | 2.164 | 22.5 |
| 43.83 | 2.065 | 22.5 |
| 43.99 | 2.058 | 27.1 |
| 51.76 | 1.766 | 20.9 |

```
Cs2ScSiTe4
1.0
0.000 7.638 13.773
3.497 0.000 13.773
3.497 7.638 0.000
Cs Sc Si Te
4 2 2 8
Direct
0.055 0.055 0.695
0.305 0.305 0.945
0.695 0.695 0.055
0.945 0.945 0.305
0.125 0.125 0.125
0.875 0.875 0.875
0.375 0.375 0.375
0.625 0.625 0.625
0.009 0.346 0.436
0.291 0.564 0.654
0.346 0.009 0.709
0.436 0.709 0.009
0.564 0.291 0.991
0.654 0.991 0.291
0.709 0.436 0.346
0.991 0.654 0.564
```


# 6
Simulated X-ray diffraction stick pattern
Compound: CsScSn
Radiation: Cu Ka
Structure: a crystal structure in Alexandria, relaxed with PBE

Principal peaks in the range 10° ≤ 2θ ≤ 80°, low angle first:
| 2theta | d (Å) | I_rel |
| --- | --- | --- |
| 23.32 | 3.814 | 17.9 |
| 27.29 | 3.267 | 60.4 |
| 28.72 | 3.109 | 100.0 |
| 30.26 | 2.954 | 40.8 |
| 33.40 | 2.683 | 35.2 |
| 43.13 | 2.098 | 14.7 |
| 43.41 | 2.084 | 23.7 |
| 45.68 | 1.986 | 25.9 |
| 55.85 | 1.646 | 22.7 |
| 56.02 | 1.642 | 19.5 |

```
CsScSn
1.0
9.477 0.000 0.000
0.000 5.366 0.000
0.000 0.000 8.332
Cs Sc Sn
4 4 4
Direct
0.018 0.250 0.143
0.482 0.750 0.643
0.518 0.250 0.357
0.982 0.750 0.857
0.134 0.750 0.430
0.366 0.250 0.930
0.634 0.750 0.070
0.866 0.250 0.570
0.174 0.250 0.619
0.326 0.750 0.119
0.674 0.250 0.881
0.826 0.750 0.381
```